(1)
Structure and simulated PXRD pattern of Hf2ZrScSi (a GGA-PBE-relaxed structure; Cu Kα).
Lines closer than 0.1° are merged.

Cell and atoms:
```
data_Hf2ZrScSi
_cell_length_a 5.055
_cell_length_b 5.055
_cell_length_c 5.044
_cell_angle_alpha 90.00
_cell_angle_beta 90.00
_cell_angle_gamma 90.00
_symmetry_space_group_name_H-M 'P 4/m m m'
_symmetry_Int_Tables_number 123
_symmetry_space_group_name_Hall '-P 4 2'
loop_
_atom_site_label
_atom_site_fract_x
_atom_site_fract_y
_atom_site_fract_z
_atom_site_occupancy
Hf1 0.000 0.500 0.000 1
Zr1 0.000 0.000 0.000 1
Sc1 0.500 0.500 0.500 1
Si1 0.000 0.000 0.500 1
```

Principal peaks in the range 15° ≤ 2θ ≤ 90°, by intensity:
- 17.58 deg, I = 100.0
- 35.54 deg, I = 95.6
- 30.66 deg, I = 77.5
- 51.15 deg, I = 67.2
- 39.90 deg, I = 52.0
- 24.92 deg, I = 33.8
- 63.83 deg, I = 22.9
- 60.78 deg, I = 22.2
- 54.47 deg, I = 21.8
- 86.03 deg, I = 20.4

(2)
Structure and simulated PXRD pattern of SrNd4Si3O13 (a GGA-PBE-relaxed structure; Cu Kα).
Lines closer than 0.1° are merged.

Cell and atoms:
```
data_SrNd4Si3O13
_cell_length_a 9.6699
_cell_length_b 9.6699
_cell_length_c 7.1654
_cell_angle_alpha 90.00
_cell_angle_beta 90.00
_cell_angle_gamma 120.00
_symmetry_space_group_name_H-M 'P 63'
_symmetry_Int_Tables_number 173
_symmetry_space_group_name_Hall 'P 6c'
loop_
_atom_site_label
_atom_site_fract_x
_atom_site_fract_y
_atom_site_fract_z
_atom_site_occupancy
Sr1 0.3333 0.6667 0.0000 1
Nd1 0.0092 0.2418 0.7524 1
Nd2 0.3333 0.6667 0.4999 1
Si1 0.0286 0.3972 0.2498 1
O1 0.0000 0.0000 0.2519 1
O2 0.0871 0.3368 0.4341 1
O3 0.0942 0.3412 0.0687 1
O4 0.1208 0.5933 0.2631 1
O5 0.1657 0.6856 0.7387 1
```

Principal peaks in the range 15° ≤ 2θ ≤ 90°, by intensity:
- 30.88 deg, I = 100.0
- 31.07 deg, I = 49.4
- 27.07 deg, I = 36.5
- 47.70 deg, I = 34.6
- 28.19 deg, I = 33.4
- 50.49 deg, I = 28.5
- 45.25 deg, I = 27.5
- 21.22 deg, I = 27.0
- 32.06 deg, I = 26.9
- 22.18 deg, I = 25.6

(3)
Structure and simulated PXRD pattern of Ba2Na2O3 (a GGA-PBE-relaxed structure; Cu Kα).
Lines closer than 0.1° are merged.

Cell and atoms:
```
data_Ba2Na2O3
_cell_length_a 7.173
_cell_length_b 7.173
_cell_length_c 11.092
_cell_angle_alpha 90.00
_cell_angle_beta 90.00
_cell_angle_gamma 90.00
_symmetry_space_group_name_H-M 'P 43 21 2'
_symmetry_Int_Tables_number 96
_symmetry_space_group_name_Hall 'P 4nw 2abw'
loop_
_atom_site_label
_atom_site_fract_x
_atom_site_fract_y
_atom_site_fract_z
_atom_site_occupancy
Ba1 0.019 0.238 0.357 1
Na1 0.035 0.255 0.895 1
O1 0.009 0.258 0.121 1
O2 0.198 0.802 0.250 1
```

Principal peaks in the range 15° ≤ 2θ ≤ 90°, by intensity:
- 29.66 deg, I = 100.0
- 19.24 deg, I = 85.3
- 35.39 deg, I = 46.2
- 48.65 deg, I = 35.1
- 29.91 deg, I = 31.8
- 32.28 deg, I = 30.2
- 40.60 deg, I = 27.7
- 60.04 deg, I = 22.2
- 50.93 deg, I = 16.9
- 47.00 deg, I = 14.5

(4)
Structure and simulated PXRD pattern of La2Nd6YHo3 (a GGA-PBE-relaxed structure; Cu Kα).
Lines closer than 0.1° are merged.

Cell and atoms:
```
data_La2Nd6YHo3
_cell_length_a 6.323
_cell_length_b 10.955
_cell_length_c 12.042
_cell_angle_alpha 90.00
_cell_angle_beta 100.10
_cell_angle_gamma 90.00
_symmetry_space_group_name_H-M 'C 1 2/m 1'
_symmetry_Int_Tables_number 12
_symmetry_space_group_name_Hall '-C 2y'
loop_
_atom_site_label
_atom_site_fract_x
_atom_site_fract_y
_atom_site_fract_z
_atom_site_occupancy
La1 0.000 0.167 0.000 1
Nd1 0.248 0.500 0.744 1
Nd2 0.249 0.166 0.745 1
Y1 0.000 0.500 0.000 1
Ho1 0.000 0.000 0.500 1
Ho2 0.000 0.334 0.500 1
```

Principal peaks in the range 15° ≤ 2θ ≤ 90°, by intensity:
- 29.99 deg, I = 100.0
- 34.82 deg, I = 67.1
- 59.42 deg, I = 33.3
- 30.15 deg, I = 32.6
- 49.96 deg, I = 24.2
- 50.17 deg, I = 23.5
- 59.65 deg, I = 13.9
- 62.33 deg, I = 12.4
- 84.14 deg, I = 10.4
- 59.48 deg, I = 9.5